Diffraction record for Pr2Nd2ErTm. The powder XRD pattern is calculated, not measured: it uses a DFT-relaxed cell (GGA-PBE, Alexandria) and λ = 1.5418 Å (Cu Kα).

Structure:
```
data_Pr2Nd2ErTm
_chemical_formula_sum 'Pr4 Nd4 Er2 Tm2'
_symmetry_space_group_name_H-M 'P m m a'
_symmetry_Int_Tables_number 51
_cell_length_a 7.101
_cell_length_b 5.731
_cell_length_c 9.927
_cell_angle_alpha 90.00
_cell_angle_beta 90.00
_cell_angle_gamma 90.00
loop_
_symmetry_equiv_pos_as_xyz
'x,y,z'
'-x,-y,-z'
'-x+1/2,-y,z'
'x+1/2,y,-z'
'x+1/2,-y,-z'
'-x+1/2,y,z'
'-x,y,-z'
'x,-y,z'
loop_
_atom_site_label
_atom_site_type_symbol
_atom_site_fract_x
_atom_site_fract_y
_atom_site_fract_z
_atom_site_occupancy
Pr1 Pr 0.000 0.000 0.000 1
Pr2 Pr 0.250 0.500 0.178 1
Nd1 Nd 0.250 0.000 0.333 1
Nd2 Nd 0.250 0.500 0.835 1
Er1 Er 0.250 0.000 0.658 1
Tm1 Tm 0.000 0.500 0.500 1
```

Top 12 peaks for 15 to 90 degrees two-theta, low angle first:
- 2θ = 30.97°, intensity 92
- 2θ = 31.21°, intensity 100
- 2θ = 40.45°, intensity 10
- 2θ = 44.55°, intensity 34
- 2θ = 51.47°, intensity 8
- 2θ = 55.39°, intensity 36
- 2θ = 55.55°, intensity 19
- 2θ = 61.44°, intensity 29
- 2θ = 65.11°, intensity 12
- 2θ = 73.84°, intensity 15
- 2θ = 79.13°, intensity 14
- 2θ = 87.49°, intensity 11